Entry 1:
Calculated powder diffractogram
Compound: AcFeSi2Os
Radiation: Cu Kα (λ = 1.5418 Å)
Structure: DFT lattice parameters and positions (GGA-PBE)
No peak broadening, texture or thermal motion is included.

Main lines, sorted by position (2θ from 10° to 90°):
2θ (°)  I (rel.)
22.87  69.4
33.48  49.5
34.37  22.0
34.83  100.0
43.19  37.0
48.74  13.3
49.42  19.3
55.73  23.8
56.32  21.8
61.86  24.0
62.73  12.3
73.80  22.9

Crystal structure
```
data_AcFeSi2Os
_chemical_formula_sum 'Ac2 Fe2 Si4 Os2'
_symmetry_space_group_name_H-M 'I -4 m 2'
_symmetry_Int_Tables_number 119
_symmetry_space_group_name_Hall 'I -4 -2'
_cell_length_a 4.1893
_cell_length_b 4.1893
_cell_length_c 10.4368
_cell_angle_alpha 90.00
_cell_angle_beta 90.00
_cell_angle_gamma 90.00
loop_
_atom_site_label
_atom_site_type_symbol
_atom_site_fract_x
_atom_site_fract_y
_atom_site_fract_z
_atom_site_occupancy
Ac1 Ac 0.0000 0.0000 0.0000 1
Fe1 Fe 0.0000 0.5000 0.2500 1
Si1 Si 0.0000 0.0000 0.3543 1
Os1 Os 0.0000 0.5000 0.7500 1
```



Entry 2:
Calculated powder diffractogram
Compound: AcFe2SiP6
Radiation: Cu Kα (λ = 1.5418 Å)
Structure: DFT lattice parameters and positions (GGA-PBE)
No peak broadening, texture or thermal motion is included.

Main lines, sorted by position (2θ from 10° to 90°):
2θ (°)  I (rel.)
14.12  100.0
19.29  26.6
25.36  29.2
29.32  42.2
32.68  55.3
34.33  25.5
35.34  20.8
37.55  16.5
41.32  52.8
49.65  17.8
60.35  21.9
60.84  19.2

Crystal structure
```
data_AcFe2SiP6
_chemical_formula_sum 'Ac3 Fe6 Si3 P18'
_symmetry_space_group_name_H-M 'R -3 m'
_symmetry_Int_Tables_number 166
_symmetry_space_group_name_Hall '-R 3 2"'
_cell_length_a 6.0924
_cell_length_b 6.0924
_cell_length_c 18.8194
_cell_angle_alpha 90.00
_cell_angle_beta 90.00
_cell_angle_gamma 120.00
loop_
_atom_site_label
_atom_site_type_symbol
_atom_site_fract_x
_atom_site_fract_y
_atom_site_fract_z
_atom_site_occupancy
Ac1 Ac 0.0000 0.0000 0.0000 1
Fe1 Fe 0.0000 0.0000 0.3176 1
Si1 Si 0.0000 0.0000 0.5000 1
P1 P 0.0372 0.5186 0.0706 1
```



Entry 3:
Calculated powder diffractogram
Compound: AcFePb
Radiation: Cu Kα (λ = 1.5418 Å)
Structure: DFT lattice parameters and positions (GGA-PBE)
No peak broadening, texture or thermal motion is included.

Main lines, sorted by position (2θ from 10° to 90°):
2θ (°)  I (rel.)
25.06  57.0
28.08  16.3
31.25  100.0
35.74  35.6
38.34  10.7
46.35  14.7
48.19  41.7
51.43  8.6
53.15  11.2
59.08  11.6
65.18  12.6
77.32  8.9

Crystal structure
```
data_AcFePb
_chemical_formula_sum 'Ac4 Fe4 Pb4'
_symmetry_space_group_name_H-M 'P 41 21 2'
_symmetry_Int_Tables_number 92
_cell_length_a 7.1066
_cell_length_b 7.1066
_cell_length_c 6.9658
_cell_angle_alpha 90.00
_cell_angle_beta 90.00
_cell_angle_gamma 90.00
loop_
_symmetry_equiv_pos_as_xyz
'x,y,z'
'-y+1/2,x+1/2,z+1/4'
'-x,-y,z+1/2'
'y+1/2,-x+1/2,z+3/4'
'x+1/2,-y+1/2,-z+3/4'
'-y,-x,-z+1/2'
'-x+1/2,y+1/2,-z+1/4'
'y,x,-z'
loop_
_atom_site_label
_atom_site_type_symbol
_atom_site_fract_x
_atom_site_fract_y
_atom_site_fract_z
_atom_site_occupancy
Ac1 Ac 0.2342 0.2342 0.0000 1
Fe1 Fe 0.0273 0.9727 0.7500 1
Pb1 Pb 0.2054 0.2054 0.5000 1
```



Entry 4:
Calculated powder diffractogram
Compound: AcFePt
Radiation: Cu Kα (λ = 1.5418 Å)
Structure: DFT lattice parameters and positions (GGA-PBE)
No peak broadening, texture or thermal motion is included.

Main lines, sorted by position (2θ from 10° to 90°):
2θ (°)  I (rel.)
25.04  18.0
26.62  20.9
30.83  100.0
36.91  23.7
44.14  58.3
52.29  8.2
52.37  9.1
54.79  20.4
65.01  9.1
72.87  17.7
81.18  12.8
81.40  7.2

Crystal structure
```
data_AcFePt
_chemical_formula_sum 'Ac2 Fe2 Pt2'
_symmetry_space_group_name_H-M 'P -6 m 2'
_symmetry_Int_Tables_number 187
_symmetry_space_group_name_Hall 'P -6 2'
_cell_length_a 4.1056
_cell_length_b 4.1056
_cell_length_c 10.0286
_cell_angle_alpha 90.00
_cell_angle_beta 90.00
_cell_angle_gamma 120.00
loop_
_atom_site_label
_atom_site_type_symbol
_atom_site_fract_x
_atom_site_fract_y
_atom_site_fract_z
_atom_site_occupancy
Ac1 Ac 0.0000 0.0000 0.1984 1
Fe1 Fe 0.6667 0.3333 0.3932 1
Pt1 Pt 0.3333 0.6667 0.0000 1
Pt2 Pt 0.3333 0.6667 0.5000 1
```



Entry 5:
Calculated powder diffractogram
Compound: Ac6FeRh2
Radiation: Cu Kα (λ = 1.5418 Å)
Structure: DFT lattice parameters and positions (GGA-PBE)
No peak broadening, texture or thermal motion is included.

Main lines, sorted by position (2θ from 10° to 90°):
2θ (°)  I (rel.)
26.02  15.8
27.54  100.0
35.84  33.1
42.61  29.7
46.85  24.2
50.61  16.0
51.49  18.2
56.86  8.7
65.17  9.0
68.98  15.1
70.69  13.5
81.03  9.8

Crystal structure
```
data_Ac6FeRh2
_chemical_formula_sum 'Ac18 Fe3 Rh6'
_symmetry_space_group_name_H-M 'R -3'
_symmetry_Int_Tables_number 148
_symmetry_space_group_name_Hall '-R 3'
_cell_length_a 7.3506
_cell_length_b 7.3506
_cell_length_c 20.5481
_cell_angle_alpha 90.00
_cell_angle_beta 90.00
_cell_angle_gamma 120.00
loop_
_atom_site_label
_atom_site_type_symbol
_atom_site_fract_x
_atom_site_fract_y
_atom_site_fract_z
_atom_site_occupancy
Ac1 Ac 0.0054 0.3276 0.4173 1
Fe1 Fe 0.0000 0.0000 0.5000 1
Rh1 Rh 0.0000 0.0000 0.3329 1
```



Entry 6:
Calculated powder diffractogram
Compound: Ac2ScFeS6
Radiation: Cu Kα (λ = 1.5418 Å)
Structure: DFT lattice parameters and positions (GGA-PBE)
No peak broadening, texture or thermal motion is included.

Main lines, sorted by position (2θ from 10° to 90°):
2θ (°)  I (rel.)
18.76  32.9
26.65  100.0
32.80  49.0
38.05  46.9
42.74  16.1
47.04  29.0
47.11  14.6
54.93  26.0
62.04  16.4
65.50  9.8
75.09  10.9
75.23  11.3

Crystal structure
```
data_Ac2ScFeS6
_chemical_formula_sum 'Ac4 Sc2 Fe2 S12'
_symmetry_space_group_name_H-M 'P m m n'
_symmetry_Int_Tables_number 59
_cell_length_a 6.6794
_cell_length_b 9.4571
_cell_length_c 6.7002
_cell_angle_alpha 90.00
_cell_angle_beta 90.00
_cell_angle_gamma 90.00
loop_
_symmetry_equiv_pos_as_xyz
'x,y,z'
'-x,-y,-z'
'-x+1/2,-y+1/2,z'
'x+1/2,y+1/2,-z'
'x+1/2,-y,-z'
'-x+1/2,y,z'
'-x,y+1/2,-z'
'x,-y+1/2,z'
loop_
_atom_site_label
_atom_site_type_symbol
_atom_site_fract_x
_atom_site_fract_y
_atom_site_fract_z
_atom_site_occupancy
Ac1 Ac 0.2500 0.0003 0.2413 1
Sc1 Sc 0.2500 0.2500 0.7441 1
Fe1 Fe 0.2500 0.7500 0.7509 1
S1 S 0.0096 0.7500 0.9889 1
S2 S 0.0130 0.7500 0.5120 1
S3 S 0.2500 0.5114 0.7585 1
```